Record 1
# TbSmIn4
Theoretical powder diffractogram, Cu Kα X-rays. Input: a DFT-relaxed cell (GGA-PBE, Alexandria).
Peak positions follow from Bragg's law for the DFT cell and can differ from measured ones.

The 12 most intense peaks (2θ = 5–70°), low angle first:
2θ/deg  intensity  index
30.82  60  1 6 0
31.27  43  2 1 1
32.41  37  0 4 1
33.57  36  1 4 1
34.32  77  2 3 1
34.63  24  4 1 0
35.69  100  3 5 0
36.81  20  2 4 1
44.45  25  3 5 1
52.63  20  0 0 2
53.25  14  5 3 1
65.22  33  3 5 2

```
data_TbSmIn4
_symmetry_space_group_name_H-M 'P b a m'
_symmetry_Int_Tables_number 55
_symmetry_space_group_name_Hall '-P 2 2ab'
_cell_length_a 10.4685
_cell_length_b 18.1517
_cell_length_c 3.4780
_cell_angle_alpha 90.00
_cell_angle_beta 90.00
_cell_angle_gamma 90.00
loop_
_atom_site_label
_atom_site_fract_x
_atom_site_fract_y
_atom_site_fract_z
_atom_site_occupancy
Tb1 0.1176 0.0732 0.0000 1
Sm1 0.0757 0.3668 0.0000 1
In1 0.0219 0.2135 0.5000 1
In2 0.1306 0.5265 0.5000 1
In3 0.1572 0.9152 0.5000 1
In4 0.1985 0.6896 0.5000 1
```

=====

Record 2
# Tb6SmIn5
Theoretical powder diffractogram, Cu Kα X-rays. Input: a DFT-relaxed cell (GGA-PBE, Alexandria).
Peak positions follow from Bragg's law for the DFT cell and can differ from measured ones.

The 12 most intense peaks (2θ = 5–70°), low angle first:
2θ/deg  intensity  index
32.36  100  1 2 3
35.58  19  0 0 6
35.88  20  2 0 0
40.95  12  0 4 0
51.43  13  2 0 6
55.35  9  0 4 6
55.56  10  2 4 0
60.83  2  0 5 5
61.89  13  1 2 9
62.28  15  3 2 3
67.74  10  2 4 6
69.20  9  1 6 3

```
data_Tb6SmIn5
_symmetry_space_group_name_H-M 'I m m m'
_symmetry_Int_Tables_number 71
_symmetry_space_group_name_Hall '-I 2 2'
_cell_length_a 5.0059
_cell_length_b 8.8149
_cell_length_c 15.1380
_cell_angle_alpha 90.00
_cell_angle_beta 90.00
_cell_angle_gamma 90.00
loop_
_atom_site_label
_atom_site_fract_x
_atom_site_fract_y
_atom_site_fract_z
_atom_site_occupancy
Tb1 0.0000 0.2277 0.0000 1
Tb2 0.0000 0.2633 0.3299 1
Sm1 0.0000 0.0000 0.5000 1
In1 0.0000 0.0000 0.1770 1
In2 0.0000 0.5000 0.1529 1
In3 0.0000 0.5000 0.5000 1
```

=====

Record 3
# Tb4SmIn4
Theoretical powder diffractogram, Cu Kα X-rays. Input: a DFT-relaxed cell (GGA-PBE, Alexandria).
Peak positions follow from Bragg's law for the DFT cell and can differ from measured ones.

The 12 most intense peaks (2θ = 5–70°), low angle first:
2θ/deg  intensity  index
14.80  15  1 0 1
20.71  15  1 0 2
28.01  15  1 0 3
28.82  95  2 1 1
35.05  44  2 2 0
35.43  100  2 0 3
35.96  28  1 0 4
44.05  15  2 1 4
50.42  25  4 0 0
57.50  21  3 2 4
63.12  30  4 2 3
63.84  14  2 2 6

```
data_Tb4SmIn4
_symmetry_space_group_name_H-M 'P 42/n m c'
_symmetry_Int_Tables_number 137
_cell_length_a 7.2404
_cell_length_b 7.2404
_cell_length_c 10.6430
_cell_angle_alpha 90.00
_cell_angle_beta 90.00
_cell_angle_gamma 90.00
loop_
_symmetry_equiv_pos_as_xyz
'x,y,z'
'-x,-y,-z'
'-y+1/2,x,z+1/2'
'y+1/2,-x,-z+1/2'
'-x+1/2,-y+1/2,z'
'x+1/2,y+1/2,-z'
'y,-x+1/2,z+1/2'
'-y,x+1/2,-z+1/2'
'x+1/2,-y,-z'
'-x+1/2,y,z'
'-y,-x,-z+1/2'
'y,x,z+1/2'
'-x,y+1/2,-z'
'x,-y+1/2,z'
'y+1/2,x+1/2,-z+1/2'
'-y+1/2,-x+1/2,z+1/2'
loop_
_atom_site_label
_atom_site_fract_x
_atom_site_fract_y
_atom_site_fract_z
_atom_site_occupancy
Tb1 0.0207 0.2500 0.1648 1
Sm1 0.2500 0.7500 0.2500 1
In1 0.0322 0.2500 0.4635 1
```

=====

Record 4
# Tb9Sm4In11
Theoretical powder diffractogram, Cu Kα X-rays. Input: a DFT-relaxed cell (GGA-PBE, Alexandria).
Peak positions follow from Bragg's law for the DFT cell and can differ from measured ones.

The 12 most intense peaks (2θ = 5–70°), low angle first:
2θ/deg  intensity  index
31.49  15  3 7 0
31.95  37  4 6 0
32.30  45  1 5 1
33.85  100  5 5 0
34.30  51  0 6 1
38.14  25  5 1 1
38.37  13  0 10 0
52.04  23  0 0 2
58.17  29  5 11 1
61.54  25  9 5 1
62.36  11  4 6 2
63.50  16  5 5 2

```
data_Tb9Sm4In11
_symmetry_space_group_name_H-M 'C m m m'
_symmetry_Int_Tables_number 65
_symmetry_space_group_name_Hall '-C 2 2'
_cell_length_a 16.0576
_cell_length_b 23.4630
_cell_length_c 3.5164
_cell_angle_alpha 90.00
_cell_angle_beta 90.00
_cell_angle_gamma 90.00
loop_
_atom_site_label
_atom_site_fract_x
_atom_site_fract_y
_atom_site_fract_z
_atom_site_occupancy
Tb1 0.0000 0.0000 0.0000 1
Tb2 0.1068 0.4038 0.0000 1
Tb3 0.1116 0.2232 0.0000 1
Sm1 0.1741 0.0817 0.0000 1
In1 0.0000 0.1211 0.5000 1
In2 0.0000 0.3115 0.5000 1
In3 0.0000 0.5000 0.5000 1
In4 0.2015 0.5000 0.5000 1
In5 0.2251 0.3157 0.5000 1
```

=====

Record 5
# Tb5SmIn4
Theoretical powder diffractogram, Cu Kα X-rays. Input: a DFT-relaxed cell (GGA-PBE, Alexandria).
Peak positions follow from Bragg's law for the DFT cell and can differ from measured ones.

The 12 most intense peaks (2θ = 5–70°), low angle first:
2θ/deg  intensity  index
29.82  4  1 0 4
32.26  100  1 0 5
35.03  6  1 0 6
35.59  43  1 1 0
40.87  9  0 0 10
45.17  3  0 0 11
51.22  15  2 0 0
55.30  15  1 1 10
58.79  5  1 1 11
61.84  30  2 1 5
67.51  8  2 0 10
69.02  4  1 0 15

```
data_Tb5SmIn4
_symmetry_space_group_name_H-M 'P 4/m m m'
_symmetry_Int_Tables_number 123
_symmetry_space_group_name_Hall '-P 4 2'
_cell_length_a 3.5672
_cell_length_b 3.5672
_cell_length_c 22.0790
_cell_angle_alpha 90.00
_cell_angle_beta 90.00
_cell_angle_gamma 90.00
loop_
_atom_site_label
_atom_site_fract_x
_atom_site_fract_y
_atom_site_fract_z
_atom_site_occupancy
Tb1 0.0000 0.0000 0.0000 1
Tb2 0.0000 0.0000 0.1919 1
Tb3 0.0000 0.0000 0.3823 1
Sm1 0.5000 0.5000 0.5000 1
In1 0.5000 0.5000 0.0958 1
In2 0.5000 0.5000 0.2877 1
```

=====

Record 6
# Tb2Sm8In
Theoretical powder diffractogram, Cu Kα X-rays. Input: a DFT-relaxed cell (GGA-PBE, Alexandria).
Peak positions follow from Bragg's law for the DFT cell and can differ from measured ones.

The 11 most intense peaks (2θ = 5–70°), low angle first:
2θ/deg  intensity  index
30.67  100  5 1 -1
35.32  17  4 0 -3
35.60  17  6 0 1
35.75  17  0 2 0
51.03  12  10 0 -2
51.13  12  4 2 -3
51.34  12  6 2 1
60.53  14  9 1 -4
60.90  14  11 1 0
61.10  14  5 3 -1
63.86  12  10 2 -2

```
data_Tb2Sm8In
_symmetry_space_group_name_H-M 'C 1 2/m 1'
_symmetry_Int_Tables_number 12
_symmetry_space_group_name_Hall '-C 2y'
_cell_length_a 18.2287
_cell_length_b 5.0237
_cell_length_c 8.0287
_cell_angle_alpha 90.00
_cell_angle_beta 105.60
_cell_angle_gamma 90.00
loop_
_atom_site_label
_atom_site_fract_x
_atom_site_fract_y
_atom_site_fract_z
_atom_site_occupancy
Tb1 0.2240 0.0000 0.1342 1
Sm1 0.0445 0.0000 0.2267 1
Sm2 0.0900 0.5000 0.9427 1
Sm3 0.1358 0.0000 0.6781 1
Sm4 0.1794 0.5000 0.4087 1
In1 0.0000 0.5000 0.5000 1
```

=====

Record 7
# Tb14SmIn
Theoretical powder diffractogram, Cu Kα X-rays. Input: a DFT-relaxed cell (GGA-PBE, Alexandria).
Peak positions follow from Bragg's law for the DFT cell and can differ from measured ones.

The 7 most intense peaks (2θ = 5–70°), low angle first:
2θ/deg  intensity  index
30.96  100  2 0 2
35.82  17  0 0 4
35.94  34  2 2 0
51.68  36  4 0 0
61.36  14  2 0 6
61.52  28  4 2 2
64.52  12  4 0 4

```
data_Tb14SmIn
_symmetry_space_group_name_H-M 'P 4/m m m'
_symmetry_Int_Tables_number 123
_symmetry_space_group_name_Hall '-P 4 2'
_cell_length_a 7.0679
_cell_length_b 7.0679
_cell_length_c 10.0282
_cell_angle_alpha 90.00
_cell_angle_beta 90.00
_cell_angle_gamma 90.00
loop_
_atom_site_label
_atom_site_fract_x
_atom_site_fract_y
_atom_site_fract_z
_atom_site_occupancy
Tb1 0.0000 0.0000 0.0000 1
Tb2 0.0000 0.5000 0.0000 1
Tb3 0.0000 0.5000 0.5000 1
Tb4 0.2492 0.2492 0.2520 1
Tb5 0.5000 0.5000 0.0000 1
Sm1 0.5000 0.5000 0.5000 1
In1 0.0000 0.0000 0.5000 1
```

=====

Record 8
# Tb4Sm5In4
Theoretical powder diffractogram, Cu Kα X-rays. Input: a DFT-relaxed cell (GGA-PBE, Alexandria).
Peak positions follow from Bragg's law for the DFT cell and can differ from measured ones.

The 12 most intense peaks (2θ = 5–70°), low angle first:
2θ/deg  intensity  index
27.72  8  3 0 1
28.83  8  4 0 0
31.32  100  2 3 1
32.33  8  4 2 0
34.59  11  1 4 1
34.93  23  0 0 2
37.01  18  5 1 0
51.80  14  5 1 2
57.02  10  7 2 1
60.39  15  2 3 3
64.38  8  5 5 2
67.09  7  8 3 1

```
data_Tb4Sm5In4
_symmetry_space_group_name_H-M 'I 4/m'
_symmetry_Int_Tables_number 87
_symmetry_space_group_name_Hall '-I 4'
_cell_length_a 12.3855
_cell_length_b 12.3855
_cell_length_c 5.1379
_cell_angle_alpha 90.00
_cell_angle_beta 90.00
_cell_angle_gamma 90.00
loop_
_atom_site_label
_atom_site_fract_x
_atom_site_fract_y
_atom_site_fract_z
_atom_site_occupancy
Tb1 0.0959 0.6090 0.0000 1
Sm1 0.0000 0.0000 0.0000 1
Sm2 0.0976 0.8108 0.5000 1
In1 0.1068 0.2354 0.0000 1
```

=====

Record 9
# TbSm5In4
Theoretical powder diffractogram, Cu Kα X-rays. Input: a DFT-relaxed cell (GGA-PBE, Alexandria).
Peak positions follow from Bragg's law for the DFT cell and can differ from measured ones.

The 12 most intense peaks (2θ = 5–70°), low angle first:
2θ/deg  intensity  index
29.48  3  1 0 4
31.84  100  1 0 5
34.52  4  1 0 6
35.37  41  1 1 0
39.90  10  0 0 10
50.88  14  2 0 0
51.20  3  1 1 9
54.36  17  1 1 10
57.74  3  1 1 11
61.28  31  2 1 5
66.54  9  2 0 10
67.42  6  1 0 15

```
data_TbSm5In4
_symmetry_space_group_name_H-M 'P 4/m m m'
_symmetry_Int_Tables_number 123
_symmetry_space_group_name_Hall '-P 4 2'
_cell_length_a 3.5893
_cell_length_b 3.5893
_cell_length_c 22.5959
_cell_angle_alpha 90.00
_cell_angle_beta 90.00
_cell_angle_gamma 90.00
loop_
_atom_site_label
_atom_site_fract_x
_atom_site_fract_y
_atom_site_fract_z
_atom_site_occupancy
Tb1 0.0000 0.0000 0.0000 1
Sm1 0.5000 0.5000 0.1153 1
Sm2 0.5000 0.5000 0.3071 1
Sm3 0.5000 0.5000 0.5000 1
In1 0.0000 0.0000 0.2108 1
In2 0.0000 0.0000 0.4035 1
```

=====

Record 10
# Tb3Sm4In2
Theoretical powder diffractogram, Cu Kα X-rays. Input: a DFT-relaxed cell (GGA-PBE, Alexandria).
Peak positions follow from Bragg's law for the DFT cell and can differ from measured ones.

The 12 most intense peaks (2θ = 5–70°), low angle first:
2θ/deg  intensity  index
27.75  19  4 0 0
28.59  16  3 3 0
29.57  44  0 4 1
29.69  15  2 0 -2
30.74  12  4 2 0
30.93  38  3 3 -1
32.14  100  2 0 2
33.33  56  2 4 1
33.71  27  3 1 -2
35.52  30  5 1 0
49.99  18  0 4 3
60.30  17  4 4 3

```
data_Tb3Sm4In2
_symmetry_space_group_name_H-M 'C 1 2/c 1'
_symmetry_Int_Tables_number 15
_symmetry_space_group_name_Hall '-C 2yc'
_cell_length_a 12.9179
_cell_length_b 13.6624
_cell_length_c 6.5042
_cell_angle_alpha 90.00
_cell_angle_beta 95.48
_cell_angle_gamma 90.00
loop_
_atom_site_label
_atom_site_fract_x
_atom_site_fract_y
_atom_site_fract_z
_atom_site_occupancy
Tb1 0.0000 0.0306 0.2500 1
Tb2 0.1131 0.4371 0.6018 1
Sm1 0.1065 0.2893 0.0825 1
Sm2 0.1486 0.1734 0.5874 1
In1 0.2035 0.0699 0.0440 1
```

=====

Record 11
# TbSm4In2
Theoretical powder diffractogram, Cu Kα X-rays. Input: a DFT-relaxed cell (GGA-PBE, Alexandria).
Peak positions follow from Bragg's law for the DFT cell and can differ from measured ones.

The 12 most intense peaks (2θ = 5–70°), low angle first:
2θ/deg  intensity  index
26.79  15  0 2 0
29.39  44  1 2 0
31.33  44  1 0 2
31.91  100  2 0 -3
34.05  18  1 2 -2
34.18  41  2 2 -1
34.75  13  3 1 -1
36.00  21  0 2 2
41.85  18  1 2 -3
42.13  15  2 2 -3
55.22  14  0 4 0
65.20  25  2 4 -3

```
data_TbSm4In2
_symmetry_space_group_name_H-M 'P 1 21/m 1'
_symmetry_Int_Tables_number 11
_symmetry_space_group_name_Hall '-P 2yb'
_cell_length_a 8.5317
_cell_length_b 6.6544
_cell_length_c 8.6190
_cell_angle_alpha 90.00
_cell_angle_beta 118.96
_cell_angle_gamma 90.00
loop_
_atom_site_label
_atom_site_fract_x
_atom_site_fract_y
_atom_site_fract_z
_atom_site_occupancy
Tb1 0.2476 0.2500 0.1692 1
Sm1 0.0596 0.0036 0.7311 1
Sm2 0.3969 0.2500 0.6104 1
Sm3 0.4573 0.7500 0.9617 1
In1 0.1725 0.7500 0.1104 1
In2 0.3103 0.7500 0.5375 1
```

=====

Record 12
# Tb2Sm3In4
Theoretical powder diffractogram, Cu Kα X-rays. Input: a DFT-relaxed cell (GGA-PBE, Alexandria).
Peak positions follow from Bragg's law for the DFT cell and can differ from measured ones.

The 12 most intense peaks (2θ = 5–70°), low angle first:
2θ/deg  intensity  index
25.85  6  2 0 2
32.41  100  1 1 3
33.51  95  3 1 0
42.80  2  2 2 2
43.84  1  0 0 5
47.31  35  4 0 3
56.29  4  3 1 5
57.10  17  2 0 6
59.21  35  4 2 3
59.91  18  6 0 0
64.40  1  3 1 6
67.85  10  2 2 6

```
data_Tb2Sm3In4
_symmetry_space_group_name_H-M 'C 1 2/m 1'
_symmetry_Int_Tables_number 12
_symmetry_space_group_name_Hall '-C 2y'
_cell_length_a 9.2570
_cell_length_b 5.3527
_cell_length_c 10.3249
_cell_angle_alpha 90.00
_cell_angle_beta 90.10
_cell_angle_gamma 90.00
loop_
_atom_site_label
_atom_site_fract_x
_atom_site_fract_y
_atom_site_fract_z
_atom_site_occupancy
Tb1 0.1667 0.0000 0.2783 1
Sm1 0.0000 0.5000 0.5000 1
Sm2 0.1667 0.0000 0.9228 1
In1 0.9999 0.5000 0.1541 1
In2 0.1665 0.0000 0.6001 1
```